Simulated powder diffraction line list
Compound: LaPm6Y5
Radiation: Cu Kα, 1.54184 Å
Structure: DFT lattice parameters and positions (PBE)
Intensities are scaled so that the largest is 100.

Peak list (8 most intense, 10 to 90 degrees two-theta, by angle)
Position (°2θ)	d/Å	I (rel.)
30.19	2.961	100
34.97	2.565	34
35.03	2.561	17
50.33	1.813	36
59.73	1.548	14
59.86	1.545	28
62.77	1.480	12
81.85	1.177	11

Cell and atoms:
a = 9.5882 Å, b = 9.5882 Å, c = 9.5882 Å
α = 148.92°, β = 115.41°, γ = 73.40°
Element x y z (fractional)
La 0.0000 0.0000 0.0000
Pm 0.0847 0.8334 0.2513
Pm 0.2522 0.5000 0.7522
Pm 0.4180 0.1666 0.2513
Pm 0.5820 0.8334 0.7487
Pm 0.7478 0.5000 0.2478
Pm 0.9153 0.1666 0.7487
Y 0.1681 0.6681 0.5000
Y 0.3329 0.3329 0.0000
Y 0.5000 0.0000 0.5000
Y 0.6671 0.6671 0.0000
Y 0.8319 0.3319 0.5000

Simulated powder diffraction line list
Compound: La8Pm5Y
Radiation: Cu Kα, 1.54184 Å
Structure: DFT lattice parameters and positions (PBE)
Intensities are scaled so that the largest is 100.

Peak list (8 most intense, 10 to 90 degrees two-theta, by angle)
Position (°2θ)	d/Å	I (rel.)
27.29	3.268	57
28.31	3.153	65
28.43	3.139	80
30.75	2.908	27
32.81	2.730	100
33.36	2.686	40
33.68	2.661	49
53.19	1.722	25

Cell and atoms:
a = 8.7304 Å, b = 8.7304 Å, c = 8.7304 Å
α = 110.71°, β = 110.71°, γ = 107.02°
Element x y z (fractional)
La 0.1790 0.4131 0.6037
La 0.3266 0.2252 0.2394
La 0.4247 0.8210 0.2341
La 0.5869 0.1906 0.7659
La 0.7748 0.0141 0.1014
La 0.8094 0.5753 0.3963
La 0.9127 0.6734 0.8986
La 0.9859 0.0873 0.7606
Pm 0.0731 0.4714 0.1913
Pm 0.1181 0.9269 0.3983
Pm 0.2801 0.8819 0.8087
Pm 0.5286 0.7199 0.6017
Pm 0.7500 0.2500 0.5000
Y 0.5000 0.5000 0.0000